This entry pairs a crystal structure of Pm3Nd8Er with its computed X-ray powder pattern. Radiation: Cu Kα X-rays. Structure: the PBE geometry in Alexandria.
Peak positions follow from Bragg's law for the DFT cell and can differ from measured ones.

Structural model:
```
12
Lattice="-3.349 5.693 5.849 3.349 -5.693 5.849 3.349 5.693 -5.849" Properties=species:S:1:pos:R:3 pbc="T T T"
Pm 0.000 0.000 0.000
Pm 3.349 0.000 2.999
Pm 0.000 5.693 2.850
Nd 3.349 3.827 -2.912
Nd 1.618 2.962 0.000
Nd 1.732 -2.732 5.849
Nd 0.000 1.866 2.937
Nd 3.349 3.827 2.912
Nd 1.618 8.425 0.000
Nd 1.732 2.732 5.849
Nd 0.000 1.866 8.761
Er 0.000 0.000 5.849
```

Main lines, low angle first (15 to 90 degrees two-theta):
d [Å]	I/Imax
5.774	19
2.925	57
2.907	47
2.887	29
2.876	100
2.589	39
2.560	21
2.054	25
1.828	26
1.679	20
1.651	20
1.438	25